# 1
RbTi2OsS: theoretical powder X-ray diffraction pattern (Cu Kα, 1.54184 Å), based on a crystal structure in Alexandria, relaxed with GGA-PBE.
Peak positions follow from Bragg's law for the DFT cell and can differ from measured ones.

Atomic structure:
```
RbTi2OsS
1.0
4.7234 0.0000 0.0000
0.0000 4.7234 0.0000
0.0000 0.0000 4.7099
Rb Ti Os S
1 2 1 1
Cartesian
0.0000 0.0000 0.0000
0.0000 2.3617 0.0000
2.3617 0.0000 0.0000
0.0000 0.0000 2.3549
2.3617 2.3617 2.3549
```

Peak list (8 most intense, 10° ≤ 2θ ≤ 90°, low angle first)
two_theta	I (rel.)
18.79	100
26.70	40
32.87	46
38.10	48
42.81	26
42.91	25
55.04	48
58.70	25

***

# 2
RbSb2Os: theoretical powder X-ray diffraction pattern (Cu Kα, 1.54184 Å), based on a crystal structure in Alexandria, relaxed with GGA-PBE.
Peak positions follow from Bragg's law for the DFT cell and can differ from measured ones.

Atomic structure:
```
RbSb2Os
1.0
-3.8829 3.8829 5.2808
3.8829 -3.8829 5.2808
3.8829 3.8829 -5.2808
Rb Sb Os
2 4 2
Cartesian
0.0000 0.0000 0.0000
0.0000 3.8829 2.6404
1.9415 -0.9214 3.9606
2.9615 1.9415 1.3202
1.9415 4.8044 -1.3202
0.9214 1.9415 6.6011
3.8829 0.0000 2.6404
0.0000 0.0000 5.2808
```

Peak list (8 most intense, 10° ≤ 2θ ≤ 90°, low angle first)
two_theta	I (rel.)
14.16	78
23.37	100
27.03	21
36.34	25
40.51	35
41.35	32
42.85	14
52.71	17

***

# 3
RbY2Os: theoretical powder X-ray diffraction pattern (Cu Kα, 1.54184 Å), based on a crystal structure in Alexandria, relaxed with GGA-PBE.
Peak positions follow from Bragg's law for the DFT cell and can differ from measured ones.

Atomic structure:
```
RbY2Os
1.0
-4.1722 4.1722 5.9275
4.1722 -4.1722 5.9275
4.1722 4.1722 -5.9275
Rb Y Os
2 4 2
Cartesian
4.1722 2.0861 1.4819
0.0000 2.0861 4.4456
0.0000 0.0000 0.0000
2.0861 2.0861 -2.9637
2.0861 -2.0861 2.9637
0.0000 4.1722 0.0000
4.1722 -2.0861 4.4456
0.0000 6.2583 1.4819
```

Peak list (8 most intense, 10° ≤ 2θ ≤ 90°, low angle first)
two_theta	I (rel.)
12.97	72
21.26	100
26.12	18
33.04	23
37.27	48
43.27	29
48.80	15
58.48	17

***

# 4
ReOs3: theoretical powder X-ray diffraction pattern (Cu Kα, 1.54184 Å), based on a crystal structure in Alexandria, relaxed with GGA-PBE.
Peak positions follow from Bragg's law for the DFT cell and can differ from measured ones.

Atomic structure:
```
ReOs3
1.0
2.7624 -4.7841 0.0000
2.7624 4.7841 0.0000
0.0000 0.0000 4.3673
Re Os
2 6
Cartesian
2.7624 3.9810 3.2755
2.7624 -3.9810 1.0918
1.3981 1.5895 3.2755
2.7624 0.7833 1.0918
1.3981 -1.5895 1.0918
4.1267 1.5895 3.2755
2.7624 -0.7833 3.2755
4.1267 -1.5895 1.0918
```

Peak list (8 most intense, 10° ≤ 2θ ≤ 90°, low angle first)
two_theta	I (rel.)
37.60	24
41.35	25
43.12	100
57.11	15
67.86	18
76.62	19
82.67	21
83.87	15

***

# 5
Re4Os3: theoretical powder X-ray diffraction pattern (Cu Kα, 1.54184 Å), based on a crystal structure in Alexandria, relaxed with GGA-PBE.
Peak positions follow from Bragg's law for the DFT cell and can differ from measured ones.

Atomic structure:
```
Re4Os3
1.0
2.7614 0.0000 0.0000
0.0000 2.1848 8.6349
0.0000 -2.1848 8.6349
Re Os
4 3
Cartesian
0.0000 0.0000 0.0000
0.0000 0.0000 2.4545
0.0000 0.0000 12.5075
1.3807 0.0000 4.8268
0.0000 0.0000 7.2153
1.3807 0.0000 9.8843
1.3807 0.0000 14.9513
```

Peak list (8 most intense, 10° ≤ 2θ ≤ 90°, low angle first)
two_theta	I (rel.)
38.71	38
41.32	52
41.76	100
42.06	90
57.90	24
75.64	17
78.66	18
83.17	26

***

# 6
Re3Os5: theoretical powder X-ray diffraction pattern (Cu Kα, 1.54184 Å), based on a crystal structure in Alexandria, relaxed with GGA-PBE.
Peak positions follow from Bragg's law for the DFT cell and can differ from measured ones.

Atomic structure:
```
Re3Os5
1.0
3.8715 -3.8738 0.0000
3.8715 3.8738 0.0000
0.0000 0.0000 3.8885
Re Os
3 5
Cartesian
0.0000 0.0000 0.0000
1.9616 0.0000 1.9442
5.7815 0.0000 1.9442
1.9358 1.9369 0.0000
3.8715 1.9126 1.9442
1.9358 -1.9369 0.0000
3.8715 0.0000 0.0000
3.8715 -1.9126 1.9442
```

Peak list (8 most intense, 10° ≤ 2θ ≤ 90°, low angle first)
two_theta	I (rel.)
40.28	100
46.72	16
46.92	32
68.37	21
68.53	11
82.30	13
82.60	26
87.05	12